Record 1
Theoretical X-ray powder pattern
Compound: HfPdCl2F
Radiation: Cu Kα (weighted mean of Kα1 and Kα2)
Structure: a GGA-PBE-relaxed structure
Lines closer than 0.1° are merged.

Principal peaks in the range 2θ from 15° to 90°, in order of rising 2θ:
two_theta, intensity
22.89, 22
25.67, 51
34.66, 100
36.62, 54
43.62, 18
46.77, 13
52.75, 18
54.11, 14
60.82, 23
64.67, 32
73.13, 14
78.94, 18

a = 4.9084 Å, b = 4.9084 Å, c = 3.8844 Å
α = 90.00°, β = 90.00°, γ = 90.00°
Fractional positions:
Hf: 0.0000 0.0000 0.0000
Pd: 0.5000 0.5000 0.0000
Cl: 0.0000 0.5000 0.5000
Cl: 0.5000 0.0000 0.5000
F: 0.5000 0.5000 0.5000

Record 2
Theoretical X-ray powder pattern
Compound: Rb2HfCl5F
Radiation: Cu Kα (weighted mean of Kα1 and Kα2)
Structure: a GGA-PBE-relaxed structure
Lines closer than 0.1° are merged.

Principal peaks in the range 2θ from 15° to 90°, in order of rising 2θ:
two_theta, intensity
24.22, 39
24.59, 100
28.56, 47
29.20, 21
30.08, 26
34.51, 70
35.59, 31
42.84, 46
45.39, 20
49.61, 23
50.42, 42
62.54, 21

a = 7.2433 Å, b = 7.2433 Å, c = 7.2433 Å
α = 119.02°, β = 119.02°, γ = 91.70°
Fractional positions:
Rb: 0.0000 0.5000 0.5000
Rb: 0.5000 0.0000 0.5000
Hf: 0.2520 0.2520 0.0000
Cl: 0.0060 0.0060 0.0000
Cl: 0.0121 0.0121 0.5244
Cl: 0.0121 0.4878 0.0000
Cl: 0.4878 0.0121 0.0000
Cl: 0.4878 0.4878 0.4756
F: 0.4456 0.4456 0.0000

Record 3
Theoretical X-ray powder pattern
Compound: Hg4ClF5
Radiation: Cu Kα (weighted mean of Kα1 and Kα2)
Structure: a GGA-PBE-relaxed structure
Lines closer than 0.1° are merged.

Principal peaks in the range 2θ from 15° to 90°, in order of rising 2θ:
two_theta, intensity
15.58, 12
24.53, 100
28.65, 45
29.71, 22
31.46, 25
33.71, 8
39.62, 18
41.30, 16
43.82, 34
49.64, 31
50.29, 12
52.07, 8

a = 7.2852 Å, b = 9.0997 Å, c = 6.0146 Å
α = 90.00°, β = 90.00°, γ = 90.00°
Fractional positions:
Hg: 0.0693 0.2500 0.0039
Hg: 0.2500 0.0078 0.4653
Hg: 0.2500 0.4922 0.4653
Hg: 0.4307 0.2500 0.0039
Hg: 0.5693 0.7500 0.9961
Hg: 0.7500 0.5078 0.5347
Hg: 0.7500 0.9922 0.5347
Hg: 0.9307 0.7500 0.9961
Cl: 0.2500 0.7500 0.2015
Cl: 0.7500 0.2500 0.7985
F: 0.0246 0.5485 0.7301
F: 0.0246 0.9515 0.7301
F: 0.2500 0.2500 0.5707
F: 0.4754 0.5485 0.7301
F: 0.4754 0.9515 0.7301
F: 0.5246 0.0485 0.2699
F: 0.5246 0.4515 0.2699
F: 0.7500 0.7500 0.4293
F: 0.9754 0.0485 0.2699
F: 0.9754 0.4515 0.2699

Record 4
Theoretical X-ray powder pattern
Compound: Hg3ClF5
Radiation: Cu Kα (weighted mean of Kα1 and Kα2)
Structure: a GGA-PBE-relaxed structure
Lines closer than 0.1° are merged.

Principal peaks in the range 2θ from 15° to 90°, in order of rising 2θ:
two_theta, intensity
21.92, 56
23.38, 58
28.79, 100
32.26, 30
42.97, 43
44.59, 41
48.72, 10
54.02, 10
54.71, 11
55.42, 25
59.64, 11
67.46, 14

a = 11.2152 Å, b = 5.5608 Å, c = 5.5608 Å
α = 86.37°, β = 90.00°, γ = 90.00°
Fractional positions:
Hg: 0.0000 0.0000 0.0000
Hg: 0.1572 0.4923 0.4923
Hg: 0.3314 0.9651 0.9651
Hg: 0.5000 0.5167 0.5167
Hg: 0.6686 0.9651 0.9651
Hg: 0.8428 0.4923 0.4923
Cl: 0.3295 0.2904 0.2904
Cl: 0.6705 0.2904 0.2904
F: 0.0000 0.2969 0.2969
F: 0.0000 0.6694 0.6694
F: 0.1615 0.1682 0.7959
F: 0.1615 0.7959 0.1682
F: 0.3312 0.6818 0.6818
F: 0.5000 0.1647 0.7897
F: 0.5000 0.7897 0.1647
F: 0.6688 0.6818 0.6818
F: 0.8385 0.1682 0.7959
F: 0.8385 0.7959 0.1682

Record 5
Theoretical X-ray powder pattern
Compound: Hg2ClF3
Radiation: Cu Kα (weighted mean of Kα1 and Kα2)
Structure: a GGA-PBE-relaxed structure
Lines closer than 0.1° are merged.

Principal peaks in the range 2θ from 15° to 90°, in order of rising 2θ:
two_theta, intensity
16.67, 23
21.39, 100
25.21, 56
26.62, 53
28.13, 34
28.97, 22
29.79, 47
30.31, 47
31.69, 24
32.21, 26
32.84, 26
40.61, 30

a = 3.8567 Å, b = 7.3158 Å, c = 9.4660 Å
α = 96.14°, β = 94.49°, γ = 103.16°
Fractional positions:
Hg: 0.0846 0.2710 0.4286
Hg: 0.3700 0.8346 0.2115
Hg: 0.6300 0.1654 0.7885
Hg: 0.9154 0.7290 0.5714
Cl: 0.1211 0.2624 0.9653
Cl: 0.8789 0.7376 0.0347
F: 0.1614 0.0863 0.6357
F: 0.2410 0.6160 0.4159
F: 0.4769 0.1969 0.2961
F: 0.5231 0.8031 0.7039
F: 0.7590 0.3840 0.5841
F: 0.8386 0.9137 0.3643

Record 6
Theoretical X-ray powder pattern
Compound: HgCl6F2
Radiation: Cu Kα (weighted mean of Kα1 and Kα2)
Structure: a GGA-PBE-relaxed structure
Lines closer than 0.1° are merged.

Principal peaks in the range 2θ from 15° to 90°, in order of rising 2θ:
two_theta, intensity
18.42, 100
20.31, 63
20.52, 83
22.78, 54
29.03, 29
29.16, 33
29.58, 57
31.01, 33
31.11, 44
32.68, 58
44.71, 40
46.90, 34

a = 9.7323 Å, b = 9.7323 Å, c = 3.6356 Å
α = 94.82°, β = 94.82°, γ = 125.60°
Fractional positions:
Hg: 0.0000 0.0000 0.0000
Cl: 0.1825 0.5964 0.0265
Cl: 0.3931 0.3931 0.5458
Cl: 0.4036 0.8175 0.9735
Cl: 0.5964 0.1825 0.0265
Cl: 0.6069 0.6069 0.4542
Cl: 0.8175 0.4036 0.9735
F: 0.0771 0.9229 0.5000
F: 0.9229 0.0771 0.5000

Record 7
Theoretical X-ray powder pattern
Compound: NaHgClF2
Radiation: Cu Kα (weighted mean of Kα1 and Kα2)
Structure: a GGA-PBE-relaxed structure
Lines closer than 0.1° are merged.

Principal peaks in the range 2θ from 15° to 90°, in order of rising 2θ:
two_theta, intensity
21.74, 26
23.45, 50
24.23, 24
25.00, 100
25.76, 46
29.75, 44
31.63, 61
32.12, 48
32.30, 41
40.78, 33
47.99, 24
49.30, 31

a = 6.2976 Å, b = 4.4254 Å, c = 7.7215 Å
α = 90.00°, β = 107.54°, γ = 90.00°
Fractional positions:
Na: 0.1566 0.2500 0.4293
Na: 0.8434 0.7500 0.5707
Hg: 0.1911 0.2500 0.9115
Hg: 0.8089 0.7500 0.0885
Cl: 0.4983 0.2500 0.7882
Cl: 0.5017 0.7500 0.2118
F: 0.0145 0.2500 0.1164
F: 0.0692 0.7500 0.3874
F: 0.9308 0.2500 0.6126
F: 0.9855 0.7500 0.8836

Record 8
Theoretical X-ray powder pattern
Compound: Hg3PdCl2F6
Radiation: Cu Kα (weighted mean of Kα1 and Kα2)
Structure: a GGA-PBE-relaxed structure
Lines closer than 0.1° are merged.

Principal peaks in the range 2θ from 15° to 90°, in order of rising 2θ:
two_theta, intensity
16.38, 45
21.38, 100
22.09, 65
22.70, 48
28.65, 92
29.50, 64
29.61, 70
32.71, 38
33.10, 33
43.62, 60
45.06, 43
51.81, 38

a = 7.0718 Å, b = 7.0718 Å, c = 5.4215 Å
α = 93.00°, β = 93.00°, γ = 61.85°
Fractional positions:
Hg: 0.0000 0.0000 0.0000
Hg: 0.0000 0.5000 0.5000
Hg: 0.5000 0.0000 0.5000
Pd: 0.5000 0.5000 0.5000
Cl: 0.1811 0.1811 0.8527
Cl: 0.8189 0.8189 0.1473
F: 0.1885 0.6501 0.6942
F: 0.3371 0.3371 0.3108
F: 0.3499 0.8115 0.3058
F: 0.6501 0.1885 0.6942
F: 0.6629 0.6629 0.6892
F: 0.8115 0.3499 0.3058

Record 9
Theoretical X-ray powder pattern
Compound: Hg2SClF
Radiation: Cu Kα (weighted mean of Kα1 and Kα2)
Structure: a GGA-PBE-relaxed structure
Lines closer than 0.1° are merged.

Principal peaks in the range 2θ from 15° to 90°, in order of rising 2θ:
two_theta, intensity
20.23, 83
24.77, 100
29.00, 21
29.48, 45
33.34, 18
34.71, 62
38.97, 16
41.61, 18
41.92, 23
46.97, 20
51.60, 19
52.21, 23

a = 6.8099 Å, b = 6.8099 Å, c = 9.7009 Å
α = 106.69°, β = 106.69°, γ = 36.90°
Fractional positions:
Hg: 0.0752 0.0752 0.3522
Hg: 0.3641 0.3641 0.1171
Hg: 0.6359 0.6359 0.8829
Hg: 0.9248 0.9248 0.6478
S: 0.4448 0.4448 0.7888
S: 0.5552 0.5552 0.2112
Cl: 0.1539 0.1539 0.6248
Cl: 0.8461 0.8461 0.3752
F: 0.1929 0.1929 0.0417
F: 0.8071 0.8071 0.9583

Record 10
Theoretical X-ray powder pattern
Compound: TiHgClF6
Radiation: Cu Kα (weighted mean of Kα1 and Kα2)
Structure: a GGA-PBE-relaxed structure
Lines closer than 0.1° are merged.

Principal peaks in the range 2θ from 15° to 90°, in order of rising 2θ:
two_theta, intensity
15.47, 43
15.68, 44
17.53, 100
18.20, 31
22.82, 37
23.76, 29
24.94, 20
25.41, 30
30.18, 40
34.97, 21
36.23, 18
39.55, 20

a = 5.0703 Å, b = 5.9733 Å, c = 6.0441 Å
α = 108.51°, β = 90.32°, γ = 93.42°
Fractional positions:
Ti: 0.0000 0.0000 0.0000
Hg: 0.9437 0.6749 0.3754
Cl: 0.7164 0.4210 0.5460
F: 0.1595 0.3012 0.1091
F: 0.1690 0.9401 0.2832
F: 0.2518 0.8499 0.8047
F: 0.7019 0.1188 0.2069
F: 0.8080 0.0255 0.7539
F: 0.8204 0.7014 0.9890

Record 11
Theoretical X-ray powder pattern
Compound: I3Cl6F2
Radiation: Cu Kα (weighted mean of Kα1 and Kα2)
Structure: a GGA-PBE-relaxed structure
Lines closer than 0.1° are merged.

Principal peaks in the range 2θ from 15° to 90°, in order of rising 2θ:
two_theta, intensity
20.16, 14
21.75, 43
21.96, 69
22.70, 100
25.95, 48
28.46, 24
31.78, 14
33.21, 26
38.39, 36
39.06, 32
39.42, 14
51.04, 21

a = 8.5283 Å, b = 8.5283 Å, c = 15.0020 Å
α = 106.35°, β = 106.35°, γ = 54.69°
Fractional positions:
I: 0.0156 0.9844 0.7500
I: 0.3759 0.4031 0.2749
I: 0.4031 0.3759 0.7749
I: 0.5969 0.6241 0.2251
I: 0.6241 0.5969 0.7251
I: 0.9844 0.0156 0.2500
Cl: 0.0553 0.0880 0.4228
Cl: 0.0880 0.0553 0.9228
Cl: 0.2201 0.2452 0.1713
Cl: 0.2452 0.2201 0.6713
Cl: 0.3449 0.3686 0.4185
Cl: 0.3686 0.3449 0.9185
Cl: 0.6314 0.6551 0.0815
Cl: 0.6551 0.6314 0.5815
Cl: 0.7548 0.7799 0.3287
Cl: 0.7799 0.7548 0.8287
Cl: 0.9120 0.9447 0.0772
Cl: 0.9447 0.9120 0.5772
F: 0.4399 0.4696 0.1536
F: 0.4696 0.4399 0.6536
F: 0.5304 0.5601 0.3464
F: 0.5601 0.5304 0.8464

Record 12
Theoretical X-ray powder pattern
Compound: I2Cl4F
Radiation: Cu Kα (weighted mean of Kα1 and Kα2)
Structure: a GGA-PBE-relaxed structure
Lines closer than 0.1° are merged.

Principal peaks in the range 2θ from 15° to 90°, in order of rising 2θ:
two_theta, intensity
19.19, 100
21.21, 35
21.98, 14
22.48, 35
22.87, 16
23.21, 26
28.79, 19
29.25, 46
29.94, 20
36.42, 25
39.04, 13
44.39, 16

a = 4.6820 Å, b = 8.0955 Å, c = 14.8049 Å
α = 105.24°, β = 98.38°, γ = 92.26°
Fractional positions:
I: 0.0000 0.0000 0.0000
I: 0.1385 0.6307 0.2631
I: 0.3276 0.3046 0.8440
I: 0.6179 0.0892 0.4187
Cl: 0.0139 0.9998 0.5213
Cl: 0.0340 0.4735 0.9572
Cl: 0.2123 0.1466 0.3055
Cl: 0.3176 0.5101 0.7547
Cl: 0.6222 0.1141 0.7415
Cl: 0.6462 0.8826 0.0706
Cl: 0.6943 0.3825 0.5085
Cl: 0.7150 0.4433 0.1934
F: 0.3375 0.1122 0.9289
F: 0.5461 0.8135 0.3333